(1)
Diffraction record for Mg5Bi3. The powder XRD pattern is simulated, not measured: it uses a DFT-relaxed cell (GGA-PBE, Alexandria) and Cu Ka.
No peak broadening, texture or thermal motion is included.

Cell and atoms:
```
Mg5Bi3
1.0
3.442 -7.983 0.000
3.442 7.983 0.000
-3.415 0.000 7.975
Mg Bi
10 6
Cartesian
0.000 0.000 0.000
-1.098 1.605 5.162
2.332 5.164 1.609
-1.098 -1.605 5.162
2.339 1.600 2.822
3.440 0.000 0.013
2.353 2.818 6.383
2.339 -1.600 2.822
2.332 -5.164 1.609
2.353 -2.818 6.383
0.436 3.995 3.990
1.688 2.549 0.007
1.688 -2.549 0.007
0.436 -3.995 3.990
1.696 0.000 5.436
5.147 0.000 2.556
```

Main lines, most intense first (10° ≤ 2θ ≤ 80°):
2θ/deg	I/Imax
21.84	1000
24.95	633
30.42	407
35.29	381
35.58	267
45.23	258
42.95	244
28.24	228
22.28	179
43.30	167

---

(2)
Diffraction record for MgBi2. The powder XRD pattern is simulated, not measured: it uses a DFT-relaxed cell (GGA-PBE, Alexandria) and Cu Ka.
No peak broadening, texture or thermal motion is included.

Cell and atoms:
```
MgBi2
1.0
6.912 -1.794 0.000
6.912 1.794 0.000
-2.603 0.000 7.301
Mg Bi
2 4
Cartesian
2.507 0.000 1.087
8.714 0.000 6.214
0.821 0.000 3.769
5.717 0.000 1.098
5.505 0.000 6.203
10.400 0.000 3.532
```

Main lines, most intense first (10° ≤ 2θ ≤ 80°):
2θ/deg	I/Imax
21.11	1000
29.54	953
32.37	920
30.02	893
34.08	727
32.06	671
36.94	573
33.70	467
43.99	464
45.17	409